For SrPm4DySe8, a structure optimized by DFT (PBE) gives the theoretical XRD peak list in this record (CuKα).
Neutral-atom scattering factors, no anomalous dispersion.

```
data_SrPm4DySe8
_chemical_formula_sum 'Sr3 Pm12 Dy3 Se24'
_space_group_name_H-M_alt 'R 3 m'
_space_group_IT_number 160
_space_group_name_Hall 'R 3 -2"'
_cell_length_a 8.7080
_cell_length_b 8.7080
_cell_length_c 21.1490
_cell_angle_alpha 90.00
_cell_angle_beta 90.00
_cell_angle_gamma 120.00
loop_
_atom_site_label
_atom_site_type_symbol
_atom_site_fract_x
_atom_site_fract_y
_atom_site_fract_z
_atom_site_occupancy
Sr1 Sr 0.0000 0.0000 0.0000 1
Pm1 Pm 0.0000 0.0000 0.2481 1
Pm2 Pm 0.1691 0.3382 0.4567 1
Dy1 Dy 0.0000 0.0000 0.6259 1
Se1 Se 0.0000 0.0000 0.3812 1
Se2 Se 0.0000 0.0000 0.8622 1
Se3 Se 0.0364 0.5182 0.3757 1
Se4 Se 0.1794 0.3587 0.2067 1
```

Main lines, sorted by position (5 to 70 degrees two-theta):
index  two_theta  d_spacing  I (rel.)
1 0 1  12.48  7.095  40
1 1 3  24.01  3.707  99
0 1 5  24.12  3.689  35
0 2 4  29.09  3.070  100
1 2 5  38.05  2.365  65
2 2 0  41.48  2.177  80
2 0 8  41.73  2.165  80
0 4 8  60.30  1.535  25

***

For LiTlAg6, a structure optimized by DFT (PBE) gives the theoretical XRD peak list in this record (CuKα).
Neutral-atom scattering factors, no anomalous dispersion.

```
data_LiTlAg6
_chemical_formula_sum 'Li1 Tl1 Ag6'
_space_group_name_H-M_alt 'P -6 m 2'
_space_group_IT_number 187
_space_group_name_Hall 'P -6 2'
_cell_length_a 5.9235
_cell_length_b 5.9235
_cell_length_c 4.8695
_cell_angle_alpha 90.00
_cell_angle_beta 90.00
_cell_angle_gamma 120.00
loop_
_atom_site_label
_atom_site_type_symbol
_atom_site_fract_x
_atom_site_fract_y
_atom_site_fract_z
_atom_site_occupancy
Li1 Li 0.0000 0.0000 0.0000 1
Tl1 Tl 0.3333 0.6667 0.5000 1
Ag1 Ag 0.3302 0.1651 0.5000 1
Ag2 Ag 0.5036 0.0072 0.0000 1
```

Main lines, sorted by position (5 to 70 degrees two-theta):
index  two_theta  d_spacing  I (rel.)
1 0 0  17.29  5.130  18
2 0 0  34.98  2.565  27
1 1 1  35.47  2.530  9
0 0 2  36.92  2.435  27
2 0 1  39.72  2.269  100
2 0 2  51.77  1.766  17
2 2 0  62.74  1.481  16
2 0 3  68.40  1.372  19

***

For ScBeN, a structure optimized by DFT (PBE) gives the theoretical XRD peak list in this record (CuKα).
Neutral-atom scattering factors, no anomalous dispersion.

```
data_ScBeN
_chemical_formula_sum 'Sc4 Be4 N4'
_space_group_name_H-M_alt 'A e m 2'
_space_group_IT_number 39
_space_group_name_Hall 'A 2 -2b'
_cell_length_a 7.437
_cell_length_b 4.382
_cell_length_c 4.391
_cell_angle_alpha 90.00
_cell_angle_beta 90.00
_cell_angle_gamma 90.00
loop_
_atom_site_label
_atom_site_type_symbol
_atom_site_fract_x
_atom_site_fract_y
_atom_site_fract_z
_atom_site_occupancy
Sc1 Sc 0.151 0.250 0.000 1
Be1 Be 0.500 0.000 0.478 1
N1 N 0.149 0.250 0.498 1
```

Main lines, sorted by position (5 to 70 degrees two-theta):
index  two_theta  d_spacing  I (rel.)
1 0 0  11.90  7.437  100
1 1 1  31.24  2.863  31
3 0 0  36.23  2.479  31
2 1 1  37.77  2.382  25
0 0 2  41.14  2.194  37
1 2 0  43.01  2.103  22
3 0 2  55.97  1.643  24
4 2 0  65.86  1.418  9

***

For La2CoS, a structure optimized by DFT (PBE) gives the theoretical XRD peak list in this record (CuKα).
Neutral-atom scattering factors, no anomalous dispersion.

```
data_La2CoS
_chemical_formula_sum 'La8 Co4 S4'
_space_group_name_H-M_alt 'C m c m'
_space_group_IT_number 63
_space_group_name_Hall '-C 2c 2'
_cell_length_a 4.117
_cell_length_b 24.006
_cell_length_c 4.109
_cell_angle_alpha 90.00
_cell_angle_beta 90.00
_cell_angle_gamma 90.00
loop_
_atom_site_label
_atom_site_type_symbol
_atom_site_fract_x
_atom_site_fract_y
_atom_site_fract_z
_atom_site_occupancy
La1 La 0.000 0.066 0.250 1
La2 La 0.000 0.310 0.250 1
Co1 Co 0.000 0.480 0.250 1
S1 S 0.000 0.190 0.250 1
```

Main lines, sorted by position (5 to 70 degrees two-theta):
index  two_theta  d_spacing  I (rel.)
0 4 1  26.28  3.391  67
1 5 0  28.56  3.125  58
0 8 0  29.77  3.001  41
1 1 1  30.97  2.887  100
1 7 1  40.68  2.218  50
2 0 0  44.03  2.057  52
1 9 1  46.18  1.966  23
2 8 0  54.06  1.696  30

***

For BaLi3Pd, a structure optimized by DFT (PBE) gives the theoretical XRD peak list in this record (CuKα).
Neutral-atom scattering factors, no anomalous dispersion.

```
data_BaLi3Pd
_chemical_formula_sum 'Ba2 Li6 Pd2'
_space_group_name_H-M_alt 'P 1 21/m 1'
_space_group_IT_number 11
_space_group_name_Hall '-P 2yb'
_cell_length_a 6.116
_cell_length_b 6.102
_cell_length_c 7.296
_cell_angle_alpha 90.00
_cell_angle_beta 112.83
_cell_angle_gamma 90.00
loop_
_atom_site_label
_atom_site_type_symbol
_atom_site_fract_x
_atom_site_fract_y
_atom_site_fract_z
_atom_site_occupancy
Ba1 Ba 0.202 0.250 0.135 1
Li1 Li 0.241 0.009 0.696 1
Li2 Li 0.342 0.750 0.374 1
Pd1 Pd 0.386 0.750 0.033 1
```

Main lines, sorted by position (5 to 70 degrees two-theta):
index  two_theta  d_spacing  I (rel.)
0 0 1  13.17  6.724  100
1 1 -2  29.05  3.074  20
0 2 0  29.27  3.051  24
0 2 1  32.22  2.778  25
2 1 -1  32.77  2.733  35
2 1 0  35.07  2.559  19
2 1 -2  35.84  2.505  21
1 1 -3  39.91  2.259  24

***

For Tl2AgGeCl6, a structure optimized by DFT (PBE) gives the theoretical XRD peak list in this record (CuKα).
Neutral-atom scattering factors, no anomalous dispersion.

```
data_Tl2AgGeCl6
_chemical_formula_sum 'Tl2 Ag1 Ge1 Cl6'
_space_group_name_H-M_alt 'P 1'
_space_group_IT_number 1
_space_group_name_Hall 'P 1'
_cell_length_a 7.235
_cell_length_b 7.238
_cell_length_c 7.240
_cell_angle_alpha 60.62
_cell_angle_beta 60.62
_cell_angle_gamma 60.66
loop_
_atom_site_label
_atom_site_type_symbol
_atom_site_fract_x
_atom_site_fract_y
_atom_site_fract_z
_atom_site_occupancy
Tl1 Tl 0.000 0.000 0.000 1
Tl2 Tl 0.496 0.493 0.494 1
Ag1 Ag 0.752 0.750 0.751 1
Ge1 Ge 0.252 0.250 0.251 1
Cl1 Cl 0.013 0.451 0.534 1
Cl2 Cl 0.053 0.966 0.490 1
Cl3 Cl 0.451 0.535 0.014 1
Cl4 Cl 0.494 0.049 0.969 1
Cl5 Cl 0.535 0.014 0.452 1
Cl6 Cl 0.970 0.488 0.050 1
```

Main lines, sorted by position (5 to 70 degrees two-theta):
index  two_theta  d_spacing  I (rel.)
1 0 -1  24.36  3.653  99
2 1 1  24.60  3.618  100
0 0 2  30.01  2.978  38
2 0 2  34.90  2.571  93
-2 1 1  42.88  2.109  27
3 0 1  43.02  2.102  49
2 0 -2  49.93  1.827  30
2 2 4  50.44  1.809  31

***

For TaCrRh3, a structure optimized by DFT (PBE) gives the theoretical XRD peak list in this record (CuKα).
Neutral-atom scattering factors, no anomalous dispersion.

```
data_TaCrRh3
_chemical_formula_sum 'Ta1 Cr1 Rh3'
_space_group_name_H-M_alt 'P m -3 m'
_space_group_IT_number 221
_space_group_name_Hall '-P 4 2 3'
_cell_length_a 4.412
_cell_length_b 4.412
_cell_length_c 4.412
_cell_angle_alpha 90.00
_cell_angle_beta 90.00
_cell_angle_gamma 90.00
loop_
_atom_site_label
_atom_site_type_symbol
_atom_site_fract_x
_atom_site_fract_y
_atom_site_fract_z
_atom_site_occupancy
Ta1 Ta 0.000 0.000 0.000 1
Cr1 Cr 0.500 0.500 0.500 1
Rh1 Rh 0.000 0.500 0.500 1
```

Main lines, sorted by position (5 to 70 degrees two-theta):
index  two_theta  d_spacing  I (rel.)
1 1 0  28.61  3.120  21
1 1 1  35.23  2.547  100
2 0 0  40.91  2.206  76
2 1 1  50.68  1.801  9
2 2 0  59.23  1.560  50
3 1 0  67.08  1.395  4

***

For Sm6Ho2Er3, a structure optimized by DFT (PBE) gives the theoretical XRD peak list in this record (CuKα).
Neutral-atom scattering factors, no anomalous dispersion.

```
data_Sm6Ho2Er3
_chemical_formula_sum 'Sm12 Ho4 Er6'
_space_group_name_H-M_alt 'I 4/m m m'
_space_group_IT_number 139
_space_group_name_Hall '-I 4 2'
_cell_length_a 4.744
_cell_length_b 4.744
_cell_length_c 33.397
_cell_angle_alpha 90.00
_cell_angle_beta 90.00
_cell_angle_gamma 90.00
loop_
_atom_site_label
_atom_site_type_symbol
_atom_site_fract_x
_atom_site_fract_y
_atom_site_fract_z
_atom_site_occupancy
Sm1 Sm 0.000 0.000 0.199 1
Sm2 Sm 0.000 0.500 0.120 1
Ho1 Ho 0.000 0.000 0.045 1
Er1 Er 0.000 0.000 0.302 1
Er2 Er 0.000 0.000 0.500 1
```

Main lines, sorted by position (5 to 70 degrees two-theta):
index  two_theta  d_spacing  I (rel.)
1 1 0  26.54  3.358  23
1 1 4  28.68  3.113  100
0 0 12  32.16  2.783  23
1 1 8  34.29  2.615  74
2 0 0  37.94  2.372  66
2 0 12  50.56  1.805  25
1 1 20  62.09  1.495  24
3 1 8  66.19  1.412  22

***

What is the formula in the seventh record?
TaCrRh3

***

What is the formula in the fourth record?
La2CoS